Starting from a crystal structure in Alexandria, relaxed with PBE, the powder XRD pattern of Re4HgCl was computed for copper Kα.
Kinematic intensities with the Lorentz-polarization factor, no thermal factor.

Unit cell a=5.3219 b=5.3219 c=5.3219 alpha=60.00 beta=60.00 gamma=60.00
Fractional positions:
Re: 0.1236 0.1236 0.1236
Re: 0.1236 0.1236 0.6291
Re: 0.1236 0.6291 0.1236
Re: 0.6291 0.1236 0.1236
Hg: 0.5000 0.5000 0.5000
Cl: 0.7500 0.7500 0.7500

Largest 6 diffraction maxima, by angle, 10° ≤ 2θ ≤ 90°:
d (Å)	2θ/deg	I_rel
4.345	20.4	30
2.269	39.7	100
2.173	41.6	56
1.448	64.3	33
1.330	70.8	29
1.135	85.6	22

---

Starting from a crystal structure in Alexandria, relaxed with PBE, the powder XRD pattern of BaGaHRh2 was computed for copper Kα.
Kinematic intensities with the Lorentz-polarization factor, no thermal factor.

Unit cell a=6.1616 b=6.1616 c=7.3171 alpha=90.00 beta=90.00 gamma=141.17
Fractional positions:
Ba: 0.0542 0.9458 0.7500
Ba: 0.9458 0.0542 0.2500
Ga: 0.2197 0.7803 0.2500
Ga: 0.7803 0.2197 0.7500
H: 0.5000 0.5000 0.0000
H: 0.5000 0.5000 0.5000
Rh: 0.3356 0.6644 0.5505
Rh: 0.3356 0.6644 0.9495
Rh: 0.6644 0.3356 0.0505
Rh: 0.6644 0.3356 0.4495

Largest 6 diffraction maxima, by angle, 10° ≤ 2θ ≤ 90°:
d (Å)	2θ/deg	I_rel
2.815	31.8	65
2.700	33.2	56
2.657	33.7	100
2.627	34.1	59
2.062	43.9	29
2.048	44.2	40

---

Starting from a crystal structure in Alexandria, relaxed with PBE, the powder XRD pattern of Er2PaSe5 was computed for copper Kα.
Kinematic intensities with the Lorentz-polarization factor, no thermal factor.

Unit cell a=8.9670 b=8.0886 c=5.5260 alpha=79.98 beta=62.66 gamma=37.36
Fractional positions:
Er: 0.1814 0.1814 0.8186
Er: 0.8186 0.8186 0.1814
Pa: 0.5000 0.5000 0.5000
Se: 0.0000 0.0000 0.0000
Se: 0.1800 0.5100 0.4900
Se: 0.4900 0.8200 0.1800
Se: 0.5100 0.1800 0.8200
Se: 0.8200 0.4900 0.5100

Largest 6 diffraction maxima, by angle, 10° ≤ 2θ ≤ 90°:
d (Å)	2θ/deg	I_rel
4.771	18.6	53
3.489	25.5	40
2.789	32.1	56
2.531	35.5	36
2.425	37.1	100
1.874	48.6	30

---

Starting from a crystal structure in Alexandria, relaxed with PBE, the powder XRD pattern of Ta2Nb4W was computed for copper Kα.
Kinematic intensities with the Lorentz-polarization factor, no thermal factor.

Unit cell a=2.8476 b=7.1653 c=7.1846 alpha=118.12 beta=97.71 gamma=97.24
Fractional positions:
Ta: 0.2131 0.2837 0.3606
Ta: 0.7869 0.7163 0.6394
Nb: 0.0659 0.4255 0.7841
Nb: 0.3671 0.1402 0.9249
Nb: 0.6329 0.8598 0.0751
Nb: 0.9341 0.5745 0.2159
W: 0.5000 0.0000 0.5000

Largest 6 diffraction maxima, by angle, 10° ≤ 2θ ≤ 90°:
d (Å)	2θ/deg	I_rel
6.177	14.3	18
2.336	38.5	67
2.328	38.7	100
2.319	38.8	34
1.347	69.8	23
1.340	70.2	17

---

Starting from a crystal structure in Alexandria, relaxed with PBE, the powder XRD pattern of Pm5PrDy3 was computed for copper Kα.
Kinematic intensities with the Lorentz-polarization factor, no thermal factor.

Unit cell a=10.0309 b=10.0309 c=7.3084 alpha=90.00 beta=90.00 gamma=55.96
Fractional positions:
Pm: 0.0114 0.6585 0.0008
Pm: 0.0114 0.6585 0.4992
Pm: 0.1653 0.8347 0.7500
Pm: 0.3415 0.9886 0.0008
Pm: 0.3415 0.9886 0.4992
Pm: 0.6585 0.0114 0.5008
Pm: 0.6585 0.0114 0.9992
Pm: 0.8347 0.1653 0.2500
Pm: 0.9886 0.3415 0.5008
Pm: 0.9886 0.3415 0.9992
Pr: 0.1988 0.8012 0.2500
Pr: 0.8012 0.1988 0.7500
Dy: 0.3213 0.3216 0.2500
Dy: 0.3216 0.3213 0.7500
Dy: 0.5000 0.5000 0.0000
Dy: 0.5000 0.5000 0.5000
Dy: 0.6784 0.6787 0.2500
Dy: 0.6787 0.6784 0.7500

Largest 6 diffraction maxima, by angle, 10° ≤ 2θ ≤ 90°:
d (Å)	2θ/deg	I_rel
3.090	28.9	35
2.952	30.3	100
2.744	32.6	36
2.418	37.2	18
2.349	38.3	21
1.610	57.2	18

---

Starting from a crystal structure in Alexandria, relaxed with PBE, the powder XRD pattern of RbCd3Pt was computed for copper Kα.
Kinematic intensities with the Lorentz-polarization factor, no thermal factor.

Unit cell a=9.6933 b=5.2717 c=13.5771 alpha=90.00 beta=128.02 gamma=90.00
Fractional positions:
Rb: 0.1350 0.2295 0.3597
Rb: 0.1350 0.2705 0.8597
Rb: 0.8650 0.7295 0.1403
Rb: 0.8650 0.7705 0.6403
Cd: 0.2098 0.1682 0.6361
Cd: 0.2098 0.3318 0.1361
Cd: 0.3890 0.7246 0.8140
Cd: 0.3890 0.7754 0.3140
Cd: 0.4313 0.7324 0.5755
Cd: 0.4313 0.7676 0.0755
Cd: 0.5687 0.2324 0.9245
Cd: 0.5687 0.2676 0.4245
Cd: 0.6110 0.2246 0.6860
Cd: 0.6110 0.2754 0.1860
Cd: 0.7902 0.6682 0.8639
Cd: 0.7902 0.8318 0.3639
Pt: 0.1345 0.6667 0.5580
Pt: 0.1345 0.8333 0.0580
Pt: 0.8655 0.1667 0.9420
Pt: 0.8655 0.3333 0.4420

Largest 6 diffraction maxima, by angle, 10° ≤ 2θ ≤ 90°:
d (Å)	2θ/deg	I_rel
6.750	13.1	100
2.972	30.1	80
2.746	32.6	32
2.636	34.0	52
2.385	37.7	53
2.290	39.3	56